For Al13Re16, the GGA-PBE geometry in OQMD gives the theoretical PXRD pattern in this record (copper Kα).
Kinematic intensities with the Lorentz-polarization factor, no thermal factor.

Structural model:
```
29
Lattice="-4.7320 4.7320 4.7320 4.7320 -4.7320 4.7320 4.7320 4.7320 -4.7320" Properties=species:S:1:pos:R:3 pbc="T T T"
Al 0.0000 0.0000 0.0000
Al 2.7313 0.8917 -0.8917
Al 2.7313 -0.8917 0.8917
Al 6.7327 0.8917 0.8917
Al 0.8917 2.7313 -0.8917
Al 0.8917 -0.8917 2.7313
Al -0.8917 2.7313 0.8917
Al -0.8917 0.8917 2.7313
Al 3.8402 3.8402 2.0007
Al 3.8402 2.0007 3.8402
Al 0.8917 6.7327 0.8917
Al 0.8917 0.8917 6.7327
Al 2.0007 3.8402 3.8402
Re 3.0680 3.0680 -3.0680
Re 5.2188 1.3172 -1.3172
Re 3.0680 -3.0680 3.0680
Re 5.2188 -1.3172 1.3172
Re 4.2451 1.3172 1.3172
Re 3.4147 3.4147 -0.4868
Re 3.4147 -0.4868 3.4147
Re 1.6639 1.6639 1.6639
Re 1.3172 5.2188 -1.3172
Re 1.3172 -1.3172 5.2188
Re 1.3172 4.2451 1.3172
Re 1.3172 1.3172 4.2451
Re -3.0680 3.0680 3.0680
Re -1.3172 5.2188 1.3172
Re -1.3172 1.3172 5.2188
Re -0.4868 3.4147 3.4147
```

Peak list (10 most intense, 10 to 90 degrees two-theta, sorted by position)
- 13.23 deg, d = 6.692 Å, I 24
- 23.02 deg, d = 3.864 Å, I 27
- 38.03 deg, d = 2.366 Å, I 14
- 40.44 deg, d = 2.231 Å, I 100
- 47.04 deg, d = 1.932 Å, I 11
- 49.08 deg, d = 1.856 Å, I 9
- 58.52 deg, d = 1.577 Å, I 10
- 63.73 deg, d = 1.460 Å, I 9
- 73.54 deg, d = 1.288 Å, I 24
- 76.69 deg, d = 1.243 Å, I 9

***

For YAgSeS, the GGA-PBE geometry in OQMD gives the theoretical PXRD pattern in this record (copper Kα).
Kinematic intensities with the Lorentz-polarization factor, no thermal factor.

Structural model:
```
8
Lattice="4.5992 -4.8472 0.0000 4.5992 4.8472 0.0000 0.0000 0.0000 4.2121" Properties=species:S:1:pos:R:3 pbc="T T T"
Y 0.0000 0.0000 0.0000
Y 4.5992 0.0000 1.7875
Ag 2.2996 2.4236 1.0547
Ag 2.2996 -2.4236 1.0547
Se 4.5992 1.9746 3.9242
Se 4.5992 -1.9746 3.9242
S 1.8362 0.0000 2.0539
S 7.3623 0.0000 2.0539
```

Peak list (10 most intense, 10 to 90 degrees two-theta, sorted by position)
- 21.09 deg, d = 4.212 Å, I 41
- 26.72 deg, d = 3.336 Å, I 44
- 28.07 deg, d = 3.179 Å, I 38
- 28.74 deg, d = 3.106 Å, I 84
- 34.29 deg, d = 2.615 Å, I 100
- 36.38 deg, d = 2.470 Å, I 62
- 37.09 deg, d = 2.424 Å, I 55
- 39.17 deg, d = 2.300 Å, I 56
- 46.15 deg, d = 1.967 Å, I 49
- 47.48 deg, d = 1.915 Å, I 40

***

For Cd2As3POs2, the GGA-PBE geometry in OQMD gives the theoretical PXRD pattern in this record (copper Kα).
Kinematic intensities with the Lorentz-polarization factor, no thermal factor.

Structural model:
```
8
Lattice="6.3911 -2.8657 0.0000 6.3911 2.8657 0.0000 -2.6120 0.0000 5.2498" Properties=species:S:1:pos:R:3 pbc="T T T"
Cd 0.5904 0.0000 1.8674
Cd 9.5797 0.0000 3.3824
As 1.1075 1.2981 4.1939
As 5.0851 1.0590 2.6249
As 9.0626 1.2981 1.0559
P 6.3911 -1.1265 0.0000
Os 4.5128 -0.1309 0.6549
Os 5.6573 -0.1309 4.5949
```

Peak list (10 most intense, 10 to 90 degrees two-theta, sorted by position)
- 26.62 deg, d = 3.348 Å, I 91
- 26.89 deg, d = 3.316 Å, I 100
- 31.24 deg, d = 2.864 Å, I 18
- 43.89 deg, d = 2.063 Å, I 20
- 44.20 deg, d = 2.049 Å, I 37
- 44.58 deg, d = 2.032 Å, I 20
- 44.76 deg, d = 2.025 Å, I 39
- 51.72 deg, d = 1.767 Å, I 15
- 52.19 deg, d = 1.753 Å, I 14
- 52.77 deg, d = 1.735 Å, I 31

***

For SmDySi4Os2, the GGA-PBE geometry in OQMD gives the theoretical PXRD pattern in this record (copper Kα).
Kinematic intensities with the Lorentz-polarization factor, no thermal factor.

Structural model:
```
8
Lattice="4.4426 0.0000 0.0000 0.0000 4.1084 0.0000 -1.6747 0.0000 7.9928" Properties=species:S:1:pos:R:3 pbc="T T T"
Sm 0.0000 0.0000 0.0000
Dy 0.1180 2.0542 3.2350
Si -0.0520 0.0000 5.5418
Si 2.2549 2.0542 0.8791
Si 2.2858 0.0000 2.3214
Si 2.9130 2.0542 5.6287
Os 0.7204 2.0542 6.5075
Os 2.1377 0.0000 4.6687
```

Peak list (10 most intense, 10 to 90 degrees two-theta, sorted by position)
- 11.07 deg, d = 7.993 Å, I 69
- 29.92 deg, d = 2.986 Å, I 51
- 30.44 deg, d = 2.936 Å, I 100
- 31.22 deg, d = 2.865 Å, I 79
- 33.45 deg, d = 2.679 Å, I 84
- 35.73 deg, d = 2.513 Å, I 55
- 40.35 deg, d = 2.235 Å, I 51
- 40.71 deg, d = 2.216 Å, I 29
- 44.08 deg, d = 2.054 Å, I 40
- 57.99 deg, d = 1.590 Å, I 27

***

For SmLuPb4, the GGA-PBE geometry in OQMD gives the theoretical PXRD pattern in this record (copper Kα).
Kinematic intensities with the Lorentz-polarization factor, no thermal factor.

Structural model:
```
6
Lattice="3.3105 0.0000 0.0000 0.0000 3.1618 9.6485 0.0000 -3.1618 9.6485" Properties=species:S:1:pos:R:3 pbc="T T T"
Sm 0.0000 0.0000 0.0000
Lu 0.0000 0.0000 3.5379
Pb 0.0000 0.0000 6.7241
Pb 0.0000 0.0000 9.8587
Pb 0.0000 0.0000 13.0437
Pb 0.0000 0.0000 16.1089
```

Peak list (10 most intense, 10 to 90 degrees two-theta, sorted by position)
- 26.93 deg, d = 3.311 Å, I 100
- 27.74 deg, d = 3.216 Å, I 88
- 28.22 deg, d = 3.162 Å, I 89
- 39.05 deg, d = 2.307 Å, I 72
- 39.41 deg, d = 2.287 Å, I 74
- 39.99 deg, d = 2.255 Å, I 68
- 48.87 deg, d = 1.864 Å, I 77
- 70.59 deg, d = 1.334 Å, I 26
- 71.76 deg, d = 1.315 Å, I 21
- 72.48 deg, d = 1.304 Å, I 24

***

For Nd2TmH6, the GGA-PBE geometry in OQMD gives the theoretical PXRD pattern in this record (copper Kα).
Kinematic intensities with the Lorentz-polarization factor, no thermal factor.

Structural model:
```
9
Lattice="0.0000 3.8454 3.8454 3.8454 0.0000 3.8454 3.8454 3.8454 0.0000" Properties=species:S:1:pos:R:3 pbc="T T T"
Nd 1.9227 1.9227 1.9227
Nd 5.7680 5.7680 5.7680
Tm 0.0000 0.0000 0.0000
H 3.8454 3.8454 2.0890
H 3.8454 2.0890 3.8454
H 5.6018 3.8454 3.8454
H 2.0890 3.8454 3.8454
H 3.8454 5.6018 3.8454
H 3.8454 3.8454 5.6018
```

Peak list (10 most intense, 10 to 90 degrees two-theta, sorted by position)
- 20.00 deg, d = 4.440 Å, I 31
- 23.13 deg, d = 3.845 Å, I 8
- 32.94 deg, d = 2.719 Å, I 100
- 38.84 deg, d = 2.319 Å, I 18
- 47.28 deg, d = 1.923 Å, I 19
- 51.82 deg, d = 1.764 Å, I 8
- 58.82 deg, d = 1.570 Å, I 38
- 62.78 deg, d = 1.480 Å, I 6
- 69.09 deg, d = 1.360 Å, I 12
- 78.69 deg, d = 1.216 Å, I 17